No. 1
Computed powder X-ray diffraction pattern of Li9Mn2Co5O16 for Cu Kα (weighted mean of Kα1 and Kα2), from a cell relaxed with GGA+U.
No peak broadening, texture or thermal motion is included.

Structural model:
abc: 12.7964 2.9408 15.4695
angles: 90.00 91.55 90.00
Space group C2/m (No. 12)
Symmetry-distinct sites (fractional):
Li 0.0000 0.0000 0.0000
Li 0.0609 0.0000 0.1785
Li 0.0613 0.5000 0.6912
Li 0.1853 0.0000 0.5694
Li 0.1846 0.5000 0.0606
Mn 0.1274 0.0000 0.3751
Co 0.0000 0.5000 0.5000
Co 0.1160 0.5000 0.8829
Co 0.2435 0.0000 0.7567
O 0.0191 0.0000 0.5925
O 0.0218 0.5000 0.0977
O 0.1011 0.0000 0.7817
O 0.1018 0.5000 0.2935
O 0.1564 0.0000 0.9596
O 0.1567 0.5000 0.4573
O 0.2193 0.0000 0.1620
O 0.2282 0.5000 0.6588

Largest 10 diffraction maxima, most intense first, 15° ≤ 2θ ≤ 90°:
2θ/deg, I/Imax, (hkl)
18.2, 100, 2 0 2
43.2, 57, 1 1 5
35.8, 27, 1 1 -3
43.7, 26, 6 0 -2
63.3, 21, 0 2 0
62.9, 15, 7 1 3
36.0, 14, 4 0 -4
56.9, 10, 3 1 7
47.6, 9, 5 1 1
62.1, 7, 2 0 10

No. 2
Computed powder X-ray diffraction pattern of LiCoSnO4 for Cu Kα (weighted mean of Kα1 and Kα2), from a cell relaxed with GGA+U.
No peak broadening, texture or thermal motion is included.

Structural model:
abc: 5.9513 6.3379 8.2370
angles: 90.00 90.00 90.00
Space group Imma (No. 74)
Symmetry-distinct sites (fractional):
Li 0.0000 0.0000 0.0000
Co 0.2500 0.2500 0.2500
Sn 0.0000 0.0000 0.5000
O 0.0000 0.0499 0.2513
O 0.2405 0.2500 0.4858

Largest 10 diffraction maxima, most intense first, 15° ≤ 2θ ≤ 90°:
2θ/deg, I/Imax, (hkl)
18.4, 100, 1 0 1
41.6, 55, 2 2 0
17.7, 50, 0 1 1
33.8, 42, 1 2 1
62.2, 30, 2 2 4
44.0, 24, 0 0 4
35.8, 23, 0 2 2
37.3, 19, 2 0 2
36.0, 19, 1 0 3
46.3, 18, 1 2 3

No. 3
Computed powder X-ray diffraction pattern of Li2TiCr3O8 for Cu Kα (weighted mean of Kα1 and Kα2), from a cell relaxed with GGA+U.
No peak broadening, texture or thermal motion is included.

Structural model:
abc: 10.1060 5.8751 6.0019
angles: 90.00 124.52 90.00
Space group C2/m (No. 12)
Symmetry-distinct sites (fractional):
Li 0.0000 0.0000 0.0000
Li 0.0000 0.5000 0.0000
Ti 0.0000 0.0000 0.5000
Cr 0.0000 0.5000 0.5000
Cr 0.2500 0.2500 0.5000
O 0.0135 0.2490 0.2851
O 0.2352 0.5000 0.6980
O 0.2378 0.0000 0.7065

Largest 10 diffraction maxima, most intense first, 15° ≤ 2θ ≤ 90°:
2θ/deg, I/Imax, (hkl)
17.9, 100, 0 0 1
43.1, 39, 2 2 -2
35.9, 21, 2 2 -1
43.5, 19, 4 0 0
36.1, 10, 4 0 -1
63.7, 10, 6 2 -2
56.5, 10, 2 2 -3
62.1, 9, 2 2 2
47.2, 8, 2 2 1
37.5, 6, 4 0 -2

No. 4
Computed powder X-ray diffraction pattern of LiMn3B3O9 for Cu Kα (weighted mean of Kα1 and Kα2), from a cell relaxed with GGA+U.
No peak broadening, texture or thermal motion is included.

Structural model:
abc: 5.7868 8.1804 9.1587
angles: 110.47 105.14 100.73
Space group P1 (No. 1)
Symmetry-distinct sites (fractional):
Li 0.0000 0.0000 0.0000
Li 0.3544 0.3385 0.6743
Mn 0.0780 0.6438 0.9001
Mn 0.3038 0.3492 0.9930
Mn 0.4281 0.9914 0.5817
Mn 0.6121 0.6715 0.6293
Mn 0.7527 0.3144 0.2605
Mn 0.9278 0.9862 0.3275
B 0.0718 0.6396 0.5526
B 0.2832 0.3400 0.3344
B 0.3896 0.9767 0.2308
B 0.6217 0.6849 0.9850
B 0.7574 0.3201 0.9097
B 0.9686 0.0288 0.6764
O 0.0094 0.4339 0.9896
O 0.0383 0.2155 0.2442
O 0.0717 0.0973 0.8461
O 0.0898 0.0896 0.5825
O 0.2620 0.9559 0.3366
O 0.2801 0.9087 0.0649
O 0.3182 0.7600 0.6346
O 0.3780 0.4188 0.5049
O 0.3967 0.5363 0.8998
O 0.4287 0.3677 0.2411
O 0.6249 0.2938 0.0118
O 0.6422 0.2541 0.7426
O 0.6440 0.0923 0.3132
O 0.7120 0.7594 0.1547
O 0.7410 0.8884 0.5893
O 0.7455 0.7402 0.8923
O 0.9324 0.6145 0.6508
O 0.9760 0.5581 0.3839

Largest 10 diffraction maxima, most intense first, 15° ≤ 2θ ≤ 90°:
2θ/deg, I/Imax, (hkl)
19.6, 100, 0 1 1
22.5, 86, 1 0 -2
35.1, 81, 2 -2 0
22.1, 74, 0 2 -1
39.8, 47, 1 3 -2
33.5, 44, 0 0 3
20.3, 32, 0 1 -2
37.0, 31, 0 3 0
51.6, 30, -3 2 2
20.7, 28, 1 1 -1

No. 5
Computed powder X-ray diffraction pattern of Li7Mn5O12 for Cu Kα (weighted mean of Kα1 and Kα2), from a cell relaxed with GGA+U.
No peak broadening, texture or thermal motion is included.

Structural model:
abc: 6.5204 7.8086 9.0073
angles: 83.09 76.57 87.07
Space group P-1 (No. 2)
Symmetry-distinct sites (fractional):
Li 0.1133 0.1300 0.0407
Li 0.1225 0.1135 0.7131
Li 0.1287 0.1165 0.3833
Li 0.2482 0.7541 0.7504
Li 0.3733 0.3807 0.1157
Li 0.3778 0.3802 0.7982
Li 0.3862 0.3729 0.4505
Mn 0.0000 0.5000 0.0000
Mn 0.9996 0.4998 0.3304
Mn 0.2491 0.7532 0.0747
Mn 0.2510 0.7441 0.4224
Mn 0.4923 0.0035 0.8303
Mn 0.5000 0.0000 0.5000
O 0.0417 0.3111 0.5344
O 0.0482 0.3165 0.8698
O 0.0574 0.3412 0.1749
O 0.2016 0.9477 0.8927
O 0.2057 0.9306 0.5503
O 0.2086 0.9126 0.2395
O 0.2895 0.5756 0.5897
O 0.2946 0.5656 0.9442
O 0.3008 0.5651 0.2845
O 0.4456 0.1558 0.3255
O 0.4533 0.1912 0.6254
O 0.4548 0.1875 0.9715

Largest 10 diffraction maxima, most intense first, 15° ≤ 2θ ≤ 90°:
2θ/deg, I/Imax, (hkl)
18.3, 100, 1 -1 0
41.1, 34, 1 -2 3
44.1, 28, 3 1 0
44.3, 28, 0 3 3
62.0, 16, 1 1 6
34.2, 16, 0 1 -3
36.3, 12, 1 2 3
36.2, 12, 2 2 0
63.8, 10, -3 2 3
61.6, 8, 2 3 -3

No. 6
Computed powder X-ray diffraction pattern of Ba2MgNiMoO6 for Cu Kα (weighted mean of Kα1 and Kα2), from a cell relaxed with GGA+U.
No peak broadening, texture or thermal motion is included.

Structural model:
abc: 5.7485 5.7548 10.9558
angles: 90.00 90.00 90.00
Space group Immm (No. 71)
Symmetry-distinct sites (fractional):
Ba 0.0000 0.0000 0.1743
Mg 0.0000 0.0000 0.5000
Ni 0.0000 0.5000 0.5000
Mo 0.0000 0.5000 0.0000
O 0.0000 0.5000 0.1777
O 0.2456 0.2474 0.5000

Largest 10 diffraction maxima, most intense first, 15° ≤ 2θ ≤ 90°:
2θ/deg, I/Imax, (hkl)
27.3, 100, 1 1 2
29.0, 98, 1 0 3
31.1, 86, 2 0 0
43.0, 65, 2 1 3
44.6, 53, 2 2 0
17.4, 44, 1 0 1
53.1, 31, 3 1 2
69.1, 25, 2 2 6
60.0, 25, 2 0 6
39.7, 23, 1 1 4

No. 7
Computed powder X-ray diffraction pattern of Mn4Nb2O9 for Cu Kα (weighted mean of Kα1 and Kα2), from a cell relaxed with GGA+U.
No peak broadening, texture or thermal motion is included.

Structural model:
abc: 5.3878 5.3878 14.5319
angles: 90.00 90.00 120.00
Space group P-3c1 (No. 165)
Symmetry-distinct sites (fractional):
Mn 0.3333 0.6667 0.0180
Mn 0.3333 0.6667 0.3032
Nb 0.0000 0.0000 0.1425
O 0.0000 0.2789 0.2500
O 0.0278 0.3369 0.9143

Largest 10 diffraction maxima, most intense first, 15° ≤ 2θ ≤ 90°:
2θ/deg, I/Imax, (hkl)
31.2, 100, 1 0 4
33.3, 73, 1 1 0
46.2, 39, 0 2 4
58.1, 36, 2 1 4
50.7, 35, 1 1 6
59.4, 28, 3 0 0
19.0, 22, 1 0 0
22.6, 20, 0 1 2
78.5, 12, 1 3 4
38.2, 12, 1 1 3